1.
Theoretical powder diffraction line list of Li9Cr5Si2O16 for Cu Kα, 1.54184 Å, from a GGA+U-relaxed structure.
Intensities are scaled so that the largest is 100.

Cell and atoms:
```
data_Li9Cr5Si2O16
_cell_length_a 5.051
_cell_length_b 11.549
_cell_length_c 5.069
_cell_angle_alpha 90.00
_cell_angle_beta 109.28
_cell_angle_gamma 90.00
_symmetry_space_group_name_H-M 'P 1 2/m 1'
_symmetry_Int_Tables_number 10
loop_
_symmetry_equiv_pos_as_xyz
'x,y,z'
'-x,-y,-z'
'-x,y,-z'
'x,-y,z'
loop_
_atom_site_label
_atom_site_fract_x
_atom_site_fract_y
_atom_site_fract_z
_atom_site_occupancy
Li1 0.000 0.000 0.000 1
Li2 0.000 0.117 0.500 1
Li3 0.000 0.376 0.500 1
Li4 0.500 0.000 0.500 1
Li5 0.500 0.243 0.500 1
Li6 0.500 0.500 0.500 1
Cr1 0.000 0.241 0.000 1
Cr2 0.000 0.500 0.000 1
Cr3 0.500 0.370 0.000 1
Si1 0.500 0.117 0.000 1
O1 0.241 0.372 0.228 1
O2 0.261 0.500 0.772 1
O3 0.270 0.235 0.781 1
O4 0.278 0.125 0.212 1
O5 0.293 0.000 0.786 1
```

Top 10 peaks for 2θ from 10° to 90°, sorted by position:
| (hkl) | 2θ (°) | d (Å) | I_rel |
| --- | --- | --- | --- |
| 0 0 1 | 18.55 | 4.784 | 100 |
| 2 0 -1 | 36.13 | 2.486 | 10 |
| 1 4 0 | 36.38 | 2.470 | 21 |
| 2 0 -2 | 43.88 | 2.063 | 29 |
| 1 4 1 | 44.05 | 2.056 | 58 |
| 2 0 -3 | 58.06 | 1.589 | 14 |
| 2 0 2 | 63.55 | 1.464 | 8 |
| 1 4 -3 | 63.83 | 1.458 | 14 |
| 3 4 -1 | 64.02 | 1.454 | 15 |
| 0 8 0 | 64.55 | 1.444 | 7 |


2.
Theoretical powder diffraction line list of Li2Cr2Si2O7 for Cu Kα, 1.54184 Å, from a GGA+U-relaxed structure.
Intensities are scaled so that the largest is 100.

Cell and atoms:
```
data_Li2Cr2Si2O7
_cell_length_a 5.629
_cell_length_b 13.645
_cell_length_c 9.809
_cell_angle_alpha 90.00
_cell_angle_beta 124.63
_cell_angle_gamma 90.00
_symmetry_space_group_name_H-M 'P 1 21/c 1'
_symmetry_Int_Tables_number 14
loop_
_symmetry_equiv_pos_as_xyz
'x,y,z'
'-x,-y,-z'
'-x,y+1/2,-z+1/2'
'x,-y+1/2,z+1/2'
loop_
_atom_site_label
_atom_site_fract_x
_atom_site_fract_y
_atom_site_fract_z
_atom_site_occupancy
Li1 0.023 0.249 0.318 1
Li2 0.267 0.152 0.616 1
Cr1 0.180 0.509 0.825 1
Cr2 0.449 0.083 0.099 1
Si1 0.215 0.615 0.544 1
Si2 0.363 0.678 0.053 1
O1 0.079 0.644 0.869 1
O2 0.089 0.166 0.015 1
O3 0.206 0.530 0.418 1
O4 0.290 0.662 0.190 1
O5 0.336 0.130 0.409 1
O6 0.403 0.566 0.730 1
O7 0.424 0.702 0.545 1
```

Top 10 peaks for 2θ from 10° to 90°, sorted by position:
| (hkl) | 2θ (°) | d (Å) | I_rel |
| --- | --- | --- | --- |
| 0 1 1 | 12.74 | 6.947 | 81 |
| 0 2 0 | 12.98 | 6.823 | 100 |
| 1 1 -1 | 17.03 | 5.206 | 50 |
| 1 1 0 | 20.25 | 4.386 | 61 |
| 1 2 -2 | 23.31 | 3.815 | 55 |
| 1 1 1 | 27.89 | 3.199 | 93 |
| 1 1 -3 | 28.07 | 3.179 | 51 |
| 1 4 -2 | 32.66 | 2.742 | 73 |
| 2 1 -3 | 34.44 | 2.604 | 82 |
| 2 3 -2 | 37.58 | 2.393 | 56 |


3.
Theoretical powder diffraction line list of Li2CrSi6O15 for Cu Kα, 1.54184 Å, from a GGA+U-relaxed structure.
Intensities are scaled so that the largest is 100.

Cell and atoms:
```
data_Li2CrSi6O15
_cell_length_a 7.789
_cell_length_b 14.808
_cell_length_c 9.938
_cell_angle_alpha 90.00
_cell_angle_beta 90.00
_cell_angle_gamma 90.00
_symmetry_space_group_name_H-M 'I m m a'
_symmetry_Int_Tables_number 74
_symmetry_space_group_name_Hall '-I 2b 2'
loop_
_atom_site_label
_atom_site_fract_x
_atom_site_fract_y
_atom_site_fract_z
_atom_site_occupancy
Li1 0.250 0.006 0.250 1
Cr1 0.000 0.000 0.000 1
Si1 0.000 0.152 0.273 1
Si2 0.192 0.147 0.537 1
O1 0.000 0.068 0.171 1
O2 0.000 0.129 0.603 1
O3 0.000 0.250 0.201 1
O4 0.168 0.143 0.375 1
O5 0.178 0.071 0.914 1
O6 0.241 0.250 0.924 1
```

Top 10 peaks for 2θ from 10° to 90°, sorted by position:
| (hkl) | 2θ (°) | d (Å) | I_rel |
| --- | --- | --- | --- |
| 0 1 1 | 10.72 | 8.252 | 47 |
| 0 0 2 | 17.85 | 4.969 | 46 |
| 1 2 1 | 18.79 | 4.722 | 100 |
| 0 4 0 | 24.04 | 3.702 | 31 |
| 2 1 1 | 25.29 | 3.522 | 35 |
| 0 1 3 | 27.59 | 3.233 | 55 |
| 1 4 1 | 28.16 | 3.169 | 79 |
| 2 2 2 | 31.58 | 2.833 | 41 |
| 2 4 2 | 38.12 | 2.361 | 31 |
| 3 6 1 | 51.97 | 1.760 | 32 |


4.
Theoretical powder diffraction line list of Li2CrSi2O6 for Cu Kα, 1.54184 Å, from a GGA+U-relaxed structure.
Intensities are scaled so that the largest is 100.

Cell and atoms:
```
data_Li2CrSi2O6
_cell_length_a 5.196
_cell_length_b 5.197
_cell_length_c 10.363
_cell_angle_alpha 103.12
_cell_angle_beta 103.14
_cell_angle_gamma 95.34
_symmetry_space_group_name_H-M 'P 1'
_symmetry_Int_Tables_number 1
loop_
_symmetry_equiv_pos_as_xyz
'x,y,z'
loop_
_atom_site_label
_atom_site_fract_x
_atom_site_fract_y
_atom_site_fract_z
_atom_site_occupancy
Li1 0.000 0.000 0.000 1
Li2 0.087 0.587 0.175 1
Li3 0.261 0.414 0.675 1
Li4 0.674 0.327 0.500 1
Cr1 0.093 0.168 0.337 1
Cr2 0.843 0.419 0.837 1
Si1 0.359 0.789 0.503 1
Si2 0.463 0.684 0.003 1
Si3 0.547 0.268 0.172 1
Si4 0.943 0.874 0.671 1
O1 0.151 0.665 0.008 1
O2 0.190 0.964 0.604 1
O3 0.231 0.244 0.167 1
O4 0.259 0.838 0.352 1
O5 0.340 0.478 0.508 1
O6 0.513 0.587 0.852 1
O7 0.620 0.998 0.071 1
O8 0.637 0.515 0.104 1
O9 0.673 0.946 0.570 1
O10 0.749 0.322 0.323 1
O11 0.919 0.557 0.666 1
O12 0.995 0.075 0.823 1
```

Top 10 peaks for 2θ from 10° to 90°, sorted by position:
| (hkl) | 2θ (°) | d (Å) | I_rel |
| --- | --- | --- | --- |
| 0 1 1 | 21.95 | 4.049 | 100 |
| 1 1 0 | 27.07 | 3.294 | 21 |
| 1 0 -3 | 28.65 | 3.115 | 21 |
| -1 1 2 | 29.60 | 3.018 | 10 |
| 2 0 -1 | 34.67 | 2.587 | 24 |
| 1 0 3 | 36.62 | 2.454 | 12 |
| 1 1 2 | 37.73 | 2.384 | 36 |
| 1 2 1 | 46.89 | 1.938 | 8 |
| 2 -2 2 | 51.11 | 1.787 | 7 |
| 3 0 2 | 63.42 | 1.467 | 7 |


5.
Theoretical powder diffraction line list of Li2Cr2SnO6 for Cu Kα, 1.54184 Å, from a GGA+U-relaxed structure.
Intensities are scaled so that the largest is 100.

Cell and atoms:
```
data_Li2Cr2SnO6
_cell_length_a 9.227
_cell_length_b 5.264
_cell_length_c 10.263
_cell_angle_alpha 90.00
_cell_angle_beta 90.00
_cell_angle_gamma 90.00
_symmetry_space_group_name_H-M 'C m c e'
_symmetry_Int_Tables_number 64
_symmetry_space_group_name_Hall '-C 2ac 2'
loop_
_atom_site_label
_atom_site_fract_x
_atom_site_fract_y
_atom_site_fract_z
_atom_site_occupancy
Li1 0.250 0.093 0.250 1
Cr1 0.164 0.000 0.000 1
Sn1 0.000 0.000 0.500 1
O1 0.000 0.162 0.901 1
O2 0.176 0.168 0.607 1
```

Top 10 peaks for 2θ from 10° to 90°, sorted by position:
| (hkl) | 2θ (°) | d (Å) | I_rel |
| --- | --- | --- | --- |
| 0 0 2 | 17.28 | 5.131 | 100 |
| 1 1 1 | 21.27 | 4.177 | 14 |
| 0 2 0 | 34.06 | 2.632 | 10 |
| 3 1 1 | 34.91 | 2.570 | 47 |
| 0 2 2 | 38.44 | 2.342 | 20 |
| 3 1 3 | 43.12 | 2.098 | 38 |
| 0 2 4 | 49.62 | 1.837 | 15 |
| 3 1 5 | 56.68 | 1.624 | 19 |
| 3 3 1 | 61.51 | 1.508 | 18 |
| 0 0 8 | 73.84 | 1.283 | 9 |


6.
Theoretical powder diffraction line list of Li2Cr3SnO8 for Cu Kα, 1.54184 Å, from a GGA+U-relaxed structure.
Intensities are scaled so that the largest is 100.

Cell and atoms:
```
data_Li2Cr3SnO8
_cell_length_a 6.0327
_cell_length_b 6.0327
_cell_length_c 14.4665
_cell_angle_alpha 90.00
_cell_angle_beta 90.00
_cell_angle_gamma 120.00
_symmetry_space_group_name_H-M 'R 3 m'
_symmetry_Int_Tables_number 160
_symmetry_space_group_name_Hall 'R 3 -2"'
loop_
_atom_site_label
_atom_site_fract_x
_atom_site_fract_y
_atom_site_fract_z
_atom_site_occupancy
Li1 0.0000 0.0000 0.0000 1
Li2 0.0000 0.0000 0.3745 1
Cr1 0.1732 0.3465 0.8269 1
Sn1 0.0000 0.0000 0.6112 1
O1 0.0000 0.0000 0.2352 1
O2 0.0000 0.0000 0.7526 1
O3 0.0197 0.5099 0.7611 1
O4 0.1829 0.3657 0.5745 1
```

Top 10 peaks for 2θ from 10° to 90°, sorted by position:
| (hkl) | 2θ (°) | d (Å) | I_rel |
| --- | --- | --- | --- |
| 1 0 1 | 18.05 | 4.914 | 39 |
| 0 0 3 | 18.40 | 4.822 | 55 |
| 0 1 2 | 20.98 | 4.235 | 96 |
| 1 0 4 | 30.05 | 2.974 | 71 |
| 0 2 1 | 34.90 | 2.571 | 100 |
| 1 1 3 | 35.09 | 2.557 | 82 |
| 0 1 5 | 35.47 | 2.531 | 39 |
| 1 2 5 | 56.42 | 1.631 | 30 |
| 2 2 0 | 61.48 | 1.508 | 43 |
| 2 0 8 | 62.46 | 1.487 | 37 |


7.
Theoretical powder diffraction line list of Li2Cr3SnO8 for Cu Kα, 1.54184 Å, from a GGA+U-relaxed structure.
Intensities are scaled so that the largest is 100.

Cell and atoms:
```
data_Li2Cr3SnO8
_cell_length_a 5.9557
_cell_length_b 5.9557
_cell_length_c 9.6899
_cell_angle_alpha 90.00
_cell_angle_beta 90.00
_cell_angle_gamma 120.00
_symmetry_space_group_name_H-M 'P 63 m c'
_symmetry_Int_Tables_number 186
_symmetry_space_group_name_Hall 'P 6c -2c'
loop_
_atom_site_label
_atom_site_fract_x
_atom_site_fract_y
_atom_site_fract_z
_atom_site_occupancy
Li1 0.0000 0.0000 0.0000 1
Li2 0.3333 0.6667 0.3979 1
Cr1 0.1708 0.3416 0.7226 1
Sn1 0.3333 0.6667 0.0004 1
O1 0.0000 0.0000 0.3088 1
O2 0.0340 0.5170 0.8442 1
O3 0.1597 0.3194 0.1070 1
O4 0.3333 0.6667 0.6135 1
```

Top 10 peaks for 2θ from 10° to 90°, sorted by position:
| (hkl) | 2θ (°) | d (Å) | I_rel |
| --- | --- | --- | --- |
| 1 0 1 | 19.50 | 4.553 | 100 |
| 1 0 2 | 25.22 | 3.531 | 31 |
| 1 0 3 | 32.71 | 2.737 | 41 |
| 1 1 2 | 35.38 | 2.537 | 55 |
| 2 0 1 | 36.04 | 2.492 | 31 |
| 2 0 2 | 39.59 | 2.276 | 17 |
| 2 0 3 | 44.98 | 2.015 | 28 |
| 2 1 3 | 55.02 | 1.669 | 22 |
| 2 0 5 | 59.68 | 1.549 | 30 |
| 2 2 0 | 62.37 | 1.489 | 26 |